This entry pairs a crystal structure of NaNdHfSnO6 with its theoretical powder diffraction line list. Radiation: Cu Kα (weighted mean of Kα1 and Kα2). Structure: a structure optimized by DFT (PBE).
Peak positions follow from Bragg's law for the DFT cell and can differ from measured ones.

Structure:
Cell: 5.767 5.767 5.767 Å, 60.00 60.00 60.00°
Sites, in units of the cell vectors:
Na (0.000, 0.000, 0.000)
Nd (0.500, 0.500, 0.500)
Hf (0.250, 0.250, 0.250)
Sn (0.750, 0.750, 0.750)
O (0.000, 0.000, 0.500)
O (0.000, 0.500, 0.000)
O (0.000, 0.500, 0.500)
O (0.500, 0.000, 0.000)
O (0.500, 0.000, 0.500)
O (0.500, 0.500, 0.000)

Principal peaks in the range 5° ≤ 2θ ≤ 70°, in order of rising 2θ:
2θ/deg	d (Å)	I (rel.)
18.84	4.709	21
21.79	4.078	17
31.01	2.884	100
36.54	2.459	12
44.43	2.039	31
48.66	1.871	5
50.01	1.824	7
55.17	1.665	41
58.83	1.570	4
64.64	1.442	19